# 1
Calculated powder diffractogram
Compound: BaCdS2
Radiation: Cu Kα
Structure: a GGA-PBE-relaxed structure
Kinematic intensities with the Lorentz-polarization factor, no thermal factor.

Structure:
```
BaCdS2
1.0
7.4626 0.0000 0.0000
0.0000 4.2259 0.0000
0.0000 0.0000 14.2638
Ba Cd S
4 4 8
Direct
0.1547 0.2500 0.1404
0.3453 0.7500 0.6404
0.6547 0.2500 0.3596
0.8453 0.7500 0.8596
0.1733 0.7500 0.3813
0.3267 0.2500 0.8813
0.6733 0.7500 0.1187
0.8267 0.2500 0.6187
0.0771 0.2500 0.7378
0.2361 0.7500 0.9699
0.2639 0.2500 0.4699
0.4229 0.7500 0.2378
0.5771 0.2500 0.7622
0.7361 0.7500 0.5301
0.7639 0.2500 0.0301
0.9229 0.7500 0.2622
```

Peak list (10 most intense, 10° ≤ 2θ ≤ 90°, by intensity)
30.7°, I = 100; 25.0°, I = 99; 27.3°, I = 70; 44.1°, I = 63; 24.7°, I = 43; 30.5°, I = 37; 39.8°, I = 29; 40.0°, I = 29; 42.8°, I = 28; 51.3°, I = 28

---

# 2
Calculated powder diffractogram
Compound: NaCu2O2
Radiation: Cu Kα
Structure: a GGA-PBE-relaxed structure
Kinematic intensities with the Lorentz-polarization factor, no thermal factor.

Structure:
```
NaCu2O2
1.0
6.2000 0.0000 0.0000
0.0000 2.9811 0.0000
0.0000 0.0000 13.2962
Na Cu O
4 8 8
Direct
0.1487 0.2500 0.0775
0.3513 0.7500 0.5775
0.6487 0.2500 0.4225
0.8513 0.7500 0.9225
0.1135 0.2500 0.7580
0.1337 0.2500 0.3871
0.3663 0.7500 0.8871
0.3865 0.7500 0.2580
0.6135 0.2500 0.7420
0.6337 0.2500 0.1129
0.8663 0.7500 0.6129
0.8865 0.7500 0.2420
0.0791 0.2500 0.6200
0.1483 0.2500 0.8974
0.3517 0.7500 0.3974
0.4209 0.7500 0.1200
0.5791 0.2500 0.8800
0.6483 0.2500 0.6026
0.8517 0.7500 0.1026
0.9209 0.7500 0.3800
```

Peak list (10 most intense, 10° ≤ 2θ ≤ 90°, by intensity)
42.0°, I = 100; 35.3°, I = 71; 36.3°, I = 65; 19.6°, I = 41; 13.3°, I = 35; 71.8°, I = 31; 60.0°, I = 31; 40.7°, I = 28; 59.6°, I = 19; 15.8°, I = 17

---

# 3
Calculated powder diffractogram
Compound: La3Cl
Radiation: Cu Kα
Structure: a GGA-PBE-relaxed structure
Kinematic intensities with the Lorentz-polarization factor, no thermal factor.

Structure:
```
La3Cl
1.0
4.8977 0.0000 0.0000
0.0000 4.8977 0.0000
0.0000 0.0000 4.8977
La Cl
3 1
Direct
0.0000 0.0000 0.5000
0.0000 0.5000 0.0000
0.5000 0.0000 0.0000
0.5000 0.5000 0.5000
```

Peak list (10 most intense, 10° ≤ 2θ ≤ 90°, by intensity)
31.6°, I = 100; 36.7°, I = 50; 62.9°, I = 40; 52.9°, I = 35; 86.6°, I = 17; 89.5°, I = 16; 18.1°, I = 14; 25.7°, I = 13; 66.1°, I = 12; 41.2°, I = 8